Record 1
Pu3Pd5: computed powder diffractogram (Cu Kα (λ = 1.5418 Å)), based on the GGA-PBE geometry in the Materials Project.

Top 10 peaks for 15 to 90 degrees two-theta, in order of falling intensity:
2θ (°)	I_rel
36.48	100
36.64	75
31.58	45
38.56	28
54.61	28
39.03	27
42.07	26
30.70	25
26.52	22
32.74	22

Cell and atoms:
Cell: 5.8656 5.8656 9.8100 Å, 90.00 90.00 76.21°
Sites, in units of the cell vectors:
1 Pu 0.1274 0.8726 0.7500
2 Pu 0.2971 0.2971 0.0000
3 Pu 0.2971 0.2971 0.5000
4 Pu 0.7029 0.7029 0.0000
5 Pu 0.7029 0.7029 0.5000
6 Pu 0.8726 0.1274 0.2500
7 Pd 0.0115 0.4332 0.7500
8 Pd 0.1852 0.8148 0.0488
9 Pd 0.1852 0.8148 0.4512
10 Pd 0.4332 0.0115 0.2500
11 Pd 0.4748 0.5252 0.2500
12 Pd 0.5252 0.4748 0.7500
13 Pd 0.5668 0.9885 0.7500
14 Pd 0.8148 0.1852 0.5488
15 Pd 0.8148 0.1852 0.9512
16 Pd 0.9885 0.5668 0.2500

***

Record 2
PuSi2Pd2: computed powder diffractogram (Cu Kα (λ = 1.5418 Å)), based on the GGA-PBE geometry in the Materials Project.

Top 10 peaks for 15 to 90 degrees two-theta, in order of falling intensity:
2θ (°)	I_rel
35.89	100
23.62	47
34.18	37
44.82	33
76.77	22
34.71	20
57.90	19
57.55	17
62.98	17
49.51	16

Cell and atoms:
Cell: 4.0445 4.0445 10.3374 Å, 90.00 90.00 90.00°
Sites, in units of the cell vectors:
1 Pu 0.0000 0.0000 0.0000
2 Pu 0.5000 0.5000 0.5000
3 Si 0.0000 0.0000 0.3888
4 Si 0.0000 0.0000 0.6112
5 Si 0.5000 0.5000 0.1112
6 Si 0.5000 0.5000 0.8888
7 Pd 0.0000 0.5000 0.2500
8 Pd 0.0000 0.5000 0.7500
9 Pd 0.5000 0.0000 0.2500
10 Pd 0.5000 0.0000 0.7500

***

Record 3
Pu2SnPd2: computed powder diffractogram (Cu Kα (λ = 1.5418 Å)), based on the GGA-PBE geometry in the Materials Project.

Top 10 peaks for 15 to 90 degrees two-theta, in order of falling intensity:
2θ (°)	I_rel
35.41	100
33.31	35
37.59	35
55.54	20
62.13	16
47.54	15
26.34	14
49.68	11
56.97	11
71.53	11

Cell and atoms:
Cell: 7.5672 7.5672 3.8253 Å, 90.00 90.00 90.00°
Sites, in units of the cell vectors:
1 Pu 0.1746 0.3254 0.0000
2 Pu 0.3254 0.8254 0.0000
3 Pu 0.6746 0.1746 0.0000
4 Pu 0.8254 0.6746 0.0000
5 Sn 0.0000 0.0000 0.5000
6 Sn 0.5000 0.5000 0.5000
7 Pd 0.1299 0.6299 0.5000
8 Pd 0.3701 0.1299 0.5000
9 Pd 0.6299 0.8701 0.5000
10 Pd 0.8701 0.3701 0.5000

***

Record 4
Rb2Pd: computed powder diffractogram (Cu Kα (λ = 1.5418 Å)), based on the GGA-PBE geometry in the Materials Project.

Top 10 peaks for 15 to 90 degrees two-theta, in order of falling intensity:
2θ (°)	I_rel
30.66	100
54.51	38
18.64	34
88.79	20
36.13	19
43.92	18
72.49	16
63.85	12
48.09	8
21.55	6

Cell and atoms:
Cell: 8.2464 8.2464 8.2464 Å, 90.00 90.00 90.00°
Sites, in units of the cell vectors:
1 Rb 0.2500 0.2500 0.2500
2 Rb 0.2500 0.2500 0.7500
3 Rb 0.2500 0.7500 0.2500
4 Rb 0.2500 0.7500 0.7500
5 Rb 0.7500 0.2500 0.2500
6 Rb 0.7500 0.2500 0.7500
7 Rb 0.7500 0.7500 0.2500
8 Rb 0.7500 0.7500 0.7500
9 Pd 0.0000 0.0000 0.0000
10 Pd 0.0000 0.5000 0.5000
11 Pd 0.5000 0.0000 0.5000
12 Pd 0.5000 0.5000 0.0000

***

Record 5
Rb2Pd: computed powder diffractogram (Cu Kα (λ = 1.5418 Å)), based on the GGA-PBE geometry in the Materials Project.

Top 10 peaks for 15 to 90 degrees two-theta, in order of falling intensity:
2θ (°)	I_rel
30.14	100
31.10	92
18.70	49
30.51	48
30.88	47
54.49	36
43.96	35
18.93	26
18.17	23
53.39	19

Cell and atoms:
Cell: 9.9392 5.7923 5.8660 Å, 90.00 123.65 90.00°
Sites, in units of the cell vectors:
1 Rb 0.2494 0.0000 0.2446
2 Rb 0.2506 0.5000 0.7554
3 Rb 0.7494 0.5000 0.2446
4 Rb 0.7506 0.0000 0.7554
5 Pd 0.0000 0.0000 0.5000
6 Pd 0.5000 0.5000 0.5000

***

Record 6
Rb2Pd3Se4: computed powder diffractogram (Cu Kα (λ = 1.5418 Å)), based on the GGA-PBE geometry in the Materials Project.

Top 10 peaks for 15 to 90 degrees two-theta, in order of falling intensity:
2θ (°)	I_rel
35.38	100
33.60	82
27.47	80
39.89	65
50.65	63
56.28	59
31.79	54
41.06	51
34.31	49
31.65	46

Cell and atoms:
Cell: 15.1805 14.4467 6.5383 Å, 83.61 71.04 25.34°
Sites, in units of the cell vectors:
1 Rb 0.0506 0.0506 0.1994
2 Rb 0.1994 0.1994 0.0506
3 Rb 0.8006 0.8006 0.9494
4 Rb 0.9494 0.9494 0.8006
5 Pd 0.1256 0.1256 0.6244
6 Pd 0.3750 0.3750 0.3750
7 Pd 0.3756 0.3756 0.8744
8 Pd 0.6244 0.6244 0.1256
9 Pd 0.6250 0.6250 0.6250
10 Pd 0.8744 0.8744 0.3756
11 Se 0.1548 0.4791 0.2633
12 Se 0.2633 0.6029 0.1548
13 Se 0.3971 0.7367 0.5209
14 Se 0.4791 0.1548 0.6029
15 Se 0.5209 0.8452 0.3971
16 Se 0.6029 0.2633 0.4791
17 Se 0.7367 0.3971 0.8452
18 Se 0.8452 0.5209 0.7367